1.
Ca2InPbS4: calculated XRD peak list (Cu Kα (weighted mean of Kα1 and Kα2)), based on a DFT-relaxed cell (GGA-PBE, Alexandria).
Neutral-atom scattering factors, no anomalous dispersion.

```
data_Ca2InPbS4
_chemical_formula_sum 'Ca8 In4 Pb4 S16'
_cell_length_a 8.220
_cell_length_b 8.229
_cell_length_c 11.635
_cell_angle_alpha 90.00
_cell_angle_beta 90.00
_cell_angle_gamma 90.00
_space_group_name_H-M_alt 'I m m a'
_space_group_IT_number 74
_space_group_name_Hall '-I 2b 2'
loop_
_atom_site_label
_atom_site_type_symbol
_atom_site_fract_x
_atom_site_fract_y
_atom_site_fract_z
Ca1 Ca 0.000 0.000 0.000
Ca2 Ca 0.250 0.250 0.250
In1 In 0.250 0.250 0.750
Pb1 Pb 0.000 0.000 0.500
S1 S 0.000 0.004 0.244
S2 S 0.238 0.250 0.002
```

Main lines, sorted by position (5 to 70 degrees two-theta):
2θ 13.2, intensity 43.6; 2θ 25.4, intensity 35.2; 2θ 26.5, intensity 47.9; 2θ 30.7, intensity 100.0; 2θ 33.6, intensity 19.8; 2θ 40.3, intensity 13.3; 2θ 44.0, intensity 71.4; 2θ 46.2, intensity 13.7; 2θ 52.2, intensity 24.7; 2θ 54.7, intensity 24.5

=====

2.
Pr6Si4S17: calculated XRD peak list (Cu Kα (weighted mean of Kα1 and Kα2)), based on a DFT-relaxed cell (GGA-PBE, Alexandria).
Neutral-atom scattering factors, no anomalous dispersion.

```
data_Pr6Si4S17
_chemical_formula_sum 'Pr12 Si8 S34'
_cell_length_a 9.036
_cell_length_b 10.077
_cell_length_c 14.392
_cell_angle_alpha 81.94
_cell_angle_beta 86.87
_cell_angle_gamma 89.28
_space_group_name_H-M_alt 'P -1'
_space_group_IT_number 2
loop_
_space_group_symop_operation_xyz
'x,y,z'
'-x,-y,-z'
loop_
_atom_site_label
_atom_site_type_symbol
_atom_site_fract_x
_atom_site_fract_y
_atom_site_fract_z
Pr1 Pr 0.019 0.269 0.460
Pr2 Pr 0.084 0.581 0.165
Pr3 Pr 0.106 0.885 0.816
Pr4 Pr 0.332 0.911 0.342
Pr5 Pr 0.369 0.565 0.676
Pr6 Pr 0.449 0.239 0.001
Si1 Si 0.231 0.938 0.099
Si2 Si 0.249 0.999 0.583
Si3 Si 0.251 0.560 0.923
Si4 Si 0.275 0.559 0.394
S1 S 0.009 0.873 0.115
S2 S 0.016 0.991 0.623
S3 S 0.041 0.648 0.952
S4 S 0.068 0.642 0.722
S5 S 0.107 0.702 0.346
S6 S 0.186 0.481 0.532
S7 S 0.248 0.113 0.167
S8 S 0.258 0.386 0.852
S9 S 0.298 0.807 0.541
S10 S 0.301 0.412 0.303
S11 S 0.306 0.132 0.461
S12 S 0.321 0.982 0.957
S13 S 0.341 0.501 0.057
S14 S 0.355 0.029 0.706
S15 S 0.366 0.782 0.166
S16 S 0.383 0.712 0.839
S17 S 0.483 0.654 0.395
```

Main lines, sorted by position (5 to 70 degrees two-theta):
2θ 13.2, intensity 44.3; 2θ 20.3, intensity 72.3; 2θ 20.7, intensity 72.2; 2θ 21.6, intensity 48.2; 2θ 21.9, intensity 100.0; 2θ 22.1, intensity 46.0; 2θ 32.9, intensity 53.9; 2θ 34.6, intensity 53.3; 2θ 34.9, intensity 52.0; 2θ 37.2, intensity 51.8

=====

3.
TbNd5Sm2Sc: calculated XRD peak list (Cu Kα (weighted mean of Kα1 and Kα2)), based on a DFT-relaxed cell (GGA-PBE, Alexandria).
Neutral-atom scattering factors, no anomalous dispersion.

```
data_TbNd5Sm2Sc
_chemical_formula_sum 'Tb4 Nd20 Sm8 Sc4'
_cell_length_a 5.425
_cell_length_b 22.066
_cell_length_c 10.249
_cell_angle_alpha 90.00
_cell_angle_beta 90.00
_cell_angle_gamma 90.00
_space_group_name_H-M_alt 'C m c m'
_space_group_IT_number 63
_space_group_name_Hall '-C 2c 2'
loop_
_atom_site_label
_atom_site_type_symbol
_atom_site_fract_x
_atom_site_fract_y
_atom_site_fract_z
Tb1 Tb 0.000 0.102 0.250
Nd1 Nd 0.000 0.000 0.000
Nd2 Nd 0.000 0.127 0.750
Nd3 Nd 0.000 0.222 0.062
Nd4 Nd 0.000 0.500 0.250
Sm1 Sm 0.000 0.384 0.001
Sc1 Sc 0.000 0.288 0.750
```

Main lines, sorted by position (5 to 70 degrees two-theta):
2θ 26.8, intensity 36.2; 2θ 31.2, intensity 10.3; 2θ 31.4, intensity 100.0; 2θ 32.5, intensity 14.7; 2θ 33.0, intensity 32.8; 2θ 35.0, intensity 16.4; 2θ 47.0, intensity 10.6; 2θ 48.9, intensity 12.7; 2θ 58.0, intensity 25.9; 2θ 59.9, intensity 21.9